Calculated powder diffractogram of KCuTcTeSe2 for Cu Kα X-rays, from a crystal structure in OQMD, relaxed with PBE.
Kinematic intensities with the Lorentz-polarization factor, no thermal factor.

Atomic structure:
Cell lengths 8.4043, 3.7901, 10.1943 Å; angles 90.00, 113.88, 90.00 degrees
Fractional positions:
K (0.2439, 0.2500, 0.2504)
K (0.7561, 0.7500, 0.7496)
Cu (0.0743, 0.2500, 0.6074)
Cu (0.9257, 0.7500, 0.3926)
Tc (0.3096, 0.7500, 0.8411)
Tc (0.6904, 0.2500, 0.1589)
Te (0.2612, 0.7500, 0.5601)
Te (0.7388, 0.2500, 0.4399)
Se (0.1089, 0.2500, 0.8497)
Se (0.4624, 0.7500, 0.1165)
Se (0.5376, 0.2500, 0.8835)
Se (0.8911, 0.7500, 0.1503)

The 12 most intense peaks (10 to 90 degrees two-theta), in order of rising 2θ:
11.59 deg, rel. 100.0; 26.23 deg, rel. 25.7; 28.73 deg, rel. 15.9; 29.62 deg, rel. 11.9; 31.80 deg, rel. 33.1; 33.20 deg, rel. 24.4; 35.26 deg, rel. 10.7; 35.43 deg, rel. 9.3; 40.30 deg, rel. 18.2; 43.50 deg, rel. 24.4; 48.01 deg, rel. 15.3; 50.72 deg, rel. 11.7

---

Calculated powder diffractogram of KTbCu3Te4 for Cu Kα X-rays, from a crystal structure in OQMD, relaxed with PBE.
Kinematic intensities with the Lorentz-polarization factor, no thermal factor.

Atomic structure:
Cell lengths 6.5721, 8.2525, 10.4624 Å; angles 90.00, 108.14, 90.00 degrees
Fractional positions:
K (0.2148, 0.2500, 0.4232)
K (0.7852, 0.7500, 0.5768)
Tb (0.1671, 0.2500, 0.8242)
Tb (0.8329, 0.7500, 0.1758)
Cu (0.3383, 0.7500, 0.1970)
Cu (0.3396, 0.5803, 0.9931)
Cu (0.3396, 0.9197, 0.9931)
Cu (0.6604, 0.0803, 0.0069)
Cu (0.6604, 0.4197, 0.0069)
Cu (0.6617, 0.2500, 0.8030)
Te (0.0010, 0.2500, 0.0632)
Te (0.2141, 0.7500, 0.4080)
Te (0.4296, 0.5209, 0.7699)
Te (0.4296, 0.9791, 0.7699)
Te (0.5704, 0.0209, 0.2301)
Te (0.5704, 0.4791, 0.2301)
Te (0.7859, 0.2500, 0.5920)
Te (0.9990, 0.7500, 0.9368)

The 12 most intense peaks (10 to 90 degrees two-theta), in order of rising 2θ:
13.95 deg, rel. 41.0; 25.88 deg, rel. 100.0; 26.17 deg, rel. 47.7; 28.40 deg, rel. 20.3; 28.90 deg, rel. 19.0; 30.63 deg, rel. 22.8; 34.42 deg, rel. 37.4; 36.12 deg, rel. 20.7; 39.46 deg, rel. 60.2; 43.89 deg, rel. 24.5; 44.56 deg, rel. 23.2; 51.82 deg, rel. 20.0

---

Calculated powder diffractogram of K2CuTe2 for Cu Kα X-rays, from a crystal structure in OQMD, relaxed with PBE.
Kinematic intensities with the Lorentz-polarization factor, no thermal factor.

Atomic structure:
Cell lengths 3.9710, 6.6504, 7.0557 Å; angles 78.50, 89.91, 72.63 degrees
Fractional positions:
K (0.1565, 0.1883, 0.2167)
K (0.8435, 0.8117, 0.7833)
Cu (0.5000, 0.5000, 0.5000)
Te (0.1080, 0.2829, 0.7044)
Te (0.8920, 0.7171, 0.2956)

The 12 most intense peaks (10 to 90 degrees two-theta), in order of rising 2θ:
12.83 deg, rel. 46.3; 17.11 deg, rel. 100.0; 23.52 deg, rel. 45.0; 25.82 deg, rel. 28.7; 26.82 deg, rel. 26.9; 28.76 deg, rel. 22.0; 31.22 deg, rel. 52.7; 34.61 deg, rel. 33.9; 35.62 deg, rel. 41.6; 36.34 deg, rel. 73.9; 37.81 deg, rel. 22.4; 42.96 deg, rel. 30.4

---

Calculated powder diffractogram of K4Cu8Te11 for Cu Kα X-rays, from a crystal structure in OQMD, relaxed with PBE.
Kinematic intensities with the Lorentz-polarization factor, no thermal factor.

Atomic structure:
Cell lengths 12.5879, 12.5879, 18.5525 Å; angles 122.92, 122.92, 31.48 degrees
Fractional positions:
K (0.0638, 0.0638, 0.2224)
K (0.1261, 0.1261, 0.6688)
K (0.2499, 0.2499, 0.0874)
K (0.3540, 0.3540, 0.4732)
K (0.6460, 0.6460, 0.5268)
K (0.7501, 0.7501, 0.9126)
K (0.8739, 0.8739, 0.3312)
K (0.9362, 0.9362, 0.7776)
Cu (0.1054, 0.4859, 0.6123)
Cu (0.1792, 0.5640, 0.8819)
Cu (0.2283, 0.6136, 0.0578)
Cu (0.2883, 0.6973, 0.6632)
Cu (0.3027, 0.7117, 0.3368)
Cu (0.3864, 0.7717, 0.9422)
Cu (0.4360, 0.8208, 0.1181)
Cu (0.4859, 0.1054, 0.6123)
Cu (0.5141, 0.8946, 0.3877)
Cu (0.5640, 0.1792, 0.8819)
Cu (0.6136, 0.2283, 0.0578)
Cu (0.6973, 0.2883, 0.6632)
Cu (0.7117, 0.3027, 0.3368)
Cu (0.7717, 0.3864, 0.9422)
Cu (0.8208, 0.4360, 0.1181)
Cu (0.8946, 0.5141, 0.3877)
Te (0.0172, 0.4389, 0.2740)
Te (0.0672, 0.0672, 0.0190)
Te (0.0682, 0.0682, 0.4396)
Te (0.1150, 0.6961, 0.1808)
Te (0.1986, 0.1986, 0.4680)
Te (0.3039, 0.8850, 0.8192)
Te (0.3113, 0.3113, 0.9426)
Te (0.4099, 0.4099, 0.6886)
Te (0.4389, 0.0172, 0.2740)
Te (0.4569, 0.4569, 0.4054)
Te (0.4638, 0.4638, 0.8745)
Te (0.5362, 0.5362, 0.1255)
Te (0.5431, 0.5431, 0.5946)
Te (0.5611, 0.9828, 0.7260)
Te (0.5901, 0.5901, 0.3114)
Te (0.6887, 0.6887, 0.0574)
Te (0.6961, 0.1150, 0.1808)
Te (0.8014, 0.8014, 0.5320)
Te (0.8850, 0.3039, 0.8192)
Te (0.9318, 0.9318, 0.5604)
Te (0.9328, 0.9328, 0.9810)
Te (0.9828, 0.5611, 0.7260)

The 12 most intense peaks (10 to 90 degrees two-theta), in order of rising 2θ:
15.22 deg, rel. 97.8; 19.68 deg, rel. 59.5; 28.63 deg, rel. 67.3; 29.19 deg, rel. 76.0; 29.51 deg, rel. 87.0; 29.92 deg, rel. 55.1; 30.35 deg, rel. 100.0; 30.97 deg, rel. 54.7; 43.99 deg, rel. 65.2; 45.64 deg, rel. 80.8; 48.03 deg, rel. 55.2; 48.23 deg, rel. 69.0

---

What did the first record say?
Calculated powder diffractogram of KCuTcTeSe2 for Cu Kα X-rays, from a crystal structure in OQMD, relaxed with PBE.
Kinematic intensities with the Lorentz-polarization factor, no thermal factor.

Atomic structure:
Cell lengths 8.4043, 3.7901, 10.1943 Å; angles 90.00, 113.88, 90.00 degrees
Fractional positions:
K (0.2439, 0.2500, 0.2504)
K (0.7561, 0.7500, 0.7496)
Cu (0.0743, 0.2500, 0.6074)
Cu (0.9257, 0.7500, 0.3926)
Tc (0.3096, 0.7500, 0.8411)
Tc (0.6904, 0.2500, 0.1589)
Te (0.2612, 0.7500, 0.5601)
Te (0.7388, 0.2500, 0.4399)
Se (0.1089, 0.2500, 0.8497)
Se (0.4624, 0.7500, 0.1165)
Se (0.5376, 0.2500, 0.8835)
Se (0.8911, 0.7500, 0.1503)

The 12 most intense peaks (10 to 90 degrees two-theta), in order of rising 2θ:
11.59 deg, rel. 100.0; 26.23 deg, rel. 25.7; 28.73 deg, rel. 15.9; 29.62 deg, rel. 11.9; 31.80 deg, rel. 33.1; 33.20 deg, rel. 24.4; 35.26 deg, rel. 10.7; 35.43 deg, rel. 9.3; 40.30 deg, rel. 18.2; 43.50 deg, rel. 24.4; 48.01 deg, rel. 15.3; 50.72 deg, rel. 11.7